Diffraction record for Nd8Co3RuCl4. The X-ray powder pattern is simulated, not measured: it uses a cell relaxed with PBE and Cu Kα (weighted mean of Kα1 and Kα2).

Principal peaks in the range 2θ = 10–90°, low angle first:
- (0 0 1), d = 7.631 Å, I 31
- (2 2 0), d = 3.289 Å, I 28
- (4 0 0), d = 2.945 Å, I 100
- (2 2 -3), d = 2.368 Å, I 19
- (2 2 2), d = 2.198 Å, I 30
- (0 4 0), d = 1.983 Å, I 35
- (4 0 -5), d = 1.780 Å, I 14
- (4 4 0), d = 1.645 Å, I 17
- (10 2 -2), d = 1.266 Å, I 14
- (6 2 -7), d = 1.209 Å, I 9

Cell and atoms:
```
data_Nd8Co3RuCl4
_symmetry_space_group_name_H-M 'C 1 2/m 1'
_symmetry_Int_Tables_number 12
_symmetry_space_group_name_Hall '-C 2y'
_cell_length_a 13.735
_cell_length_b 7.930
_cell_length_c 8.899
_cell_angle_alpha 90.00
_cell_angle_beta 120.96
_cell_angle_gamma 90.00
loop_
_atom_site_label
_atom_site_type_symbol
_atom_site_fract_x
_atom_site_fract_y
_atom_site_fract_z
_atom_site_occupancy
Nd1 Nd 0.015 0.247 0.295 1
Nd2 Nd 0.233 0.000 0.697 1
Nd3 Nd 0.237 0.500 0.704 1
Co1 Co 0.000 0.000 0.500 1
Co2 Co 0.250 0.250 0.500 1
Ru1 Ru 0.000 0.500 0.500 1
Cl1 Cl 0.000 0.000 0.000 1
Cl2 Cl 0.000 0.500 0.000 1
Cl3 Cl 0.250 0.250 0.000 1
```